Entry 1:
The following is a calculated X-ray diffraction stick pattern of CS5. It was derived from a cell relaxed with GGA-PBE, using Cu Ka.

Most intense lines, 5 to 70 degrees two-theta, low angle first:
2θ 5.66, d = 15.611 Å, intensity 32; 2θ 6.84, d = 12.919 Å, intensity 100; 2θ 12.47, d = 7.095 Å, intensity 5; 2θ 13.33, d = 6.643 Å, intensity 8; 2θ 13.97, d = 6.341 Å, intensity 9; 2θ 20.87, d = 4.256 Å, intensity 7

Cell and atoms:
Cell: 10.8724 14.1910 31.2215 Å, 90.00 90.00 90.00°
Atoms (fractional coordinates):
C 0.1827 0.2500 0.0974
C 0.2377 0.7500 0.1005
C 0.2623 0.2500 0.6005
C 0.3173 0.7500 0.5974
C 0.6827 0.2500 0.4026
C 0.7377 0.7500 0.3995
C 0.7623 0.2500 0.8995
C 0.8173 0.7500 0.9026
S 0.0720 0.2500 0.1291
S 0.1190 0.6315 0.7648
S 0.1190 0.8685 0.7648
S 0.1242 0.2500 0.3637
S 0.1686 0.7500 0.7307
S 0.2066 0.7500 0.5658
S 0.2306 0.0811 0.2981
S 0.2306 0.4189 0.2981
S 0.2344 0.1325 0.3598
S 0.2344 0.3675 0.3598
S 0.2656 0.6325 0.8598
S 0.2656 0.8675 0.8598
S 0.2694 0.5811 0.7981
S 0.2694 0.9189 0.7981
S 0.2934 0.2500 0.0658
S 0.3314 0.2500 0.2307
S 0.3758 0.7500 0.8637
S 0.3810 0.1315 0.2648
S 0.3810 0.3685 0.2648
S 0.4280 0.7500 0.6291
S 0.5720 0.2500 0.3709
S 0.6190 0.6315 0.7352
S 0.6190 0.8685 0.7352
S 0.6242 0.2500 0.1363
S 0.6686 0.7500 0.7693
S 0.7066 0.7500 0.9342
S 0.7306 0.0811 0.2019
S 0.7306 0.4189 0.2019
S 0.7344 0.1325 0.1402
S 0.7344 0.3675 0.1402
S 0.7656 0.6325 0.6402
S 0.7656 0.8675 0.6402
S 0.7694 0.5811 0.7019
S 0.7694 0.9189 0.7019
S 0.7934 0.2500 0.4342
S 0.8314 0.2500 0.2693
S 0.8758 0.7500 0.6363
S 0.8810 0.1315 0.2352
S 0.8810 0.3685 0.2352
S 0.9280 0.7500 0.8709

=====

Entry 2:
The following is a calculated X-ray diffraction stick pattern of TmSi2Pt2. It was derived from a cell relaxed with GGA-PBE, using Cu Ka.

Most intense lines, 5 to 70 degrees two-theta, low angle first:
2θ 30.35, d = 2.945 Å, intensity 75; 2θ 34.16, d = 2.625 Å, intensity 100; 2θ 43.46, d = 2.082 Å, intensity 43; 2θ 50.00, d = 1.824 Å, intensity 22; 2θ 56.40, d = 1.631 Å, intensity 48; 2θ 68.37, d = 1.372 Å, intensity 17

Cell and atoms:
Cell: 5.8653 5.8653 5.8653 Å, 138.41 138.41 60.27°
Atoms (fractional coordinates):
Tm 0.0000 0.0000 0.0000
Si 0.2500 0.7500 0.5000
Si 0.7500 0.2500 0.5000
Pt 0.3683 0.3683 0.0000
Pt 0.6317 0.6317 0.0000

=====

Entry 3:
The following is a calculated X-ray diffraction stick pattern of Cs2CaO2. It was derived from a cell relaxed with GGA-PBE, using Cu Ka.

Most intense lines, 5 to 70 degrees two-theta, low angle first:
2θ 24.42, d = 3.645 Å, intensity 41; 2θ 26.83, d = 3.323 Å, intensity 100; 2θ 28.40, d = 3.143 Å, intensity 62; 2θ 30.29, d = 2.951 Å, intensity 96; 2θ 34.19, d = 2.623 Å, intensity 56; 2θ 50.01, d = 1.824 Å, intensity 41

Cell and atoms:
Cell: 11.3706 6.9127 6.5397 Å, 90.00 90.00 90.00°
Atoms (fractional coordinates):
Cs 0.1582 0.1104 0.0965
Cs 0.1582 0.8896 0.5965
Cs 0.3418 0.3896 0.5965
Cs 0.3418 0.6104 0.0965
Cs 0.6582 0.3896 0.9035
Cs 0.6582 0.6104 0.4035
Cs 0.8418 0.1104 0.4035
Cs 0.8418 0.8896 0.9035
Ca 0.0000 0.4805 0.7500
Ca 0.0000 0.5195 0.2500
Ca 0.5000 0.0195 0.2500
Ca 0.5000 0.9805 0.7500
O 0.0944 0.3269 0.4872
O 0.0944 0.6731 0.9872
O 0.4056 0.1731 0.9872
O 0.4056 0.8269 0.4872
O 0.5944 0.1731 0.5128
O 0.5944 0.8269 0.0128
O 0.9056 0.3269 0.0128
O 0.9056 0.6731 0.5128